Entry 1:
Structure and calculated powder diffraction line list of NdMgTl2 (a GGA-PBE-relaxed structure; copper Kα).
Lines closer than 0.1° are merged.

Principal peaks in the range 10° ≤ 2θ ≤ 90°, in order of falling intensity:
two_theta, d/Å, I_rel, hkl
33.4, 2.685, 100, 2 2 0
59.6, 1.550, 38, 4 2 2
23.4, 3.797, 19, 2 0 0
47.9, 1.898, 18, 4 0 0
79.9, 1.201, 17, 6 2 0
70.1, 1.342, 12, 4 4 0
20.3, 4.384, 10, 1 1 1
54.0, 1.698, 9, 4 2 0
41.2, 2.192, 6, 2 2 2
39.4, 2.290, 6, 3 1 1
89.4, 1.096, 4, 4 4 4
75.0, 1.266, 4, 6 0 0

Cell and atoms:
Cell: 7.594 7.594 7.594 Å, 90.00 90.00 90.00°
Space group Fm-3m (No. 225)
Inequivalent atoms, fractional coordinates:
1 Nd 0.000 0.000 0.000 [4 per cell]
2 Mg 0.000 0.000 0.500 [4 per cell]
3 Tl 0.250 0.250 0.250 [8 per cell]

=====

Entry 2:
Structure and calculated powder diffraction line list of Nd2MgTl (a GGA-PBE-relaxed structure; copper Kα).
Lines closer than 0.1° are merged.

Principal peaks in the range 10° ≤ 2θ ≤ 90°, in order of falling intensity:
two_theta, d/Å, I_rel, hkl
32.5, 2.755, 100, 2 2 0
58.0, 1.590, 39, 4 2 2
19.7, 4.498, 25, 1 1 1
46.6, 1.948, 18, 4 0 0
77.5, 1.232, 17, 6 2 0
38.3, 2.349, 15, 3 1 1
68.1, 1.377, 12, 4 4 0
51.1, 1.787, 7, 3 3 1
61.9, 1.499, 5, 5 1 1
71.7, 1.317, 5, 5 3 1
86.6, 1.125, 4, 4 4 4
89.9, 1.091, 3, 7 1 1

Cell and atoms:
Cell: 7.791 7.791 7.791 Å, 90.00 90.00 90.00°
Space group Fm-3m (No. 225)
Inequivalent atoms, fractional coordinates:
1 Nd 0.250 0.250 0.250 [8 per cell]
2 Mg 0.000 0.000 0.000 [4 per cell]
3 Tl 0.000 0.000 0.500 [4 per cell]

=====

Entry 3:
Structure and calculated powder diffraction line list of NdMgZn2 (a GGA-PBE-relaxed structure; copper Kα).
Lines closer than 0.1° are merged.

Principal peaks in the range 10° ≤ 2θ ≤ 90°, in order of falling intensity:
two_theta, d/Å, I_rel, hkl
36.3, 2.476, 100, 2 2 0
65.3, 1.429, 34, 4 2 2
22.0, 4.043, 34, 1 1 1
42.8, 2.111, 18, 3 1 1
52.3, 1.751, 17, 4 0 0
88.3, 1.107, 15, 6 2 0
77.0, 1.238, 10, 4 4 0
57.4, 1.607, 8, 3 3 1
81.3, 1.184, 6, 5 3 1
69.8, 1.348, 6, 5 1 1
25.4, 3.501, 1, 2 0 0

Cell and atoms:
Cell: 7.003 7.003 7.003 Å, 90.00 90.00 90.00°
Space group Fm-3m (No. 225)
Inequivalent atoms, fractional coordinates:
1 Nd 0.000 0.000 0.000 [4 per cell]
2 Mg 0.000 0.000 0.500 [4 per cell]
3 Zn 0.250 0.250 0.250 [8 per cell]

=====

Entry 4:
Structure and calculated powder diffraction line list of MgNi2 (a GGA-PBE-relaxed structure; copper Kα).
Lines closer than 0.1° are merged.

Principal peaks in the range 10° ≤ 2θ ≤ 90°, in order of falling intensity:
two_theta, d/Å, I_rel, hkl
42.6, 2.121, 100, 1 0 3
45.3, 2.000, 43, 1 1 0
18.5, 4.806, 28, 0 0 2
81.9, 1.177, 26, 2 1 3
76.1, 1.250, 14, 1 1 6
66.0, 1.415, 13, 2 0 0
58.0, 1.590, 9, 1 0 5
33.0, 2.714, 9, 1 0 1
57.5, 1.602, 9, 0 0 6
49.3, 1.847, 8, 1 1 2
69.2, 1.357, 3, 2 0 2
75.8, 1.254, 1, 2 1 1

Cell and atoms:
Cell: 2.829 2.829 9.611 Å, 90.00 90.00 90.00°
Space group I4/mmm (No. 139)
Inequivalent atoms, fractional coordinates:
1 Mg 0.000 0.000 0.000 [2 per cell]
2 Ni 0.000 0.000 0.322 [4 per cell]